(1)
# Mg6Ni2Pb
Theoretical powder diffractogram, Cu Kα, 1.54184 Å. Input: a GGA-PBE-relaxed structure.

Atomic structure:
```
Mg6Ni2Pb
1.0
-4.231 4.482 4.740
4.231 -4.482 4.740
4.231 4.482 -4.740
Mg Ni Pb
12 4 2
Direct
0.021 0.830 0.191
0.249 0.529 0.280
0.249 0.969 0.720
0.289 0.316 0.605
0.289 0.684 0.973
0.361 0.170 0.191
0.639 0.830 0.809
0.711 0.316 0.027
0.711 0.684 0.395
0.751 0.031 0.280
0.751 0.471 0.720
0.979 0.170 0.809
0.000 0.154 0.154
0.000 0.846 0.846
0.377 0.377 0.000
0.623 0.623 0.000
0.000 0.500 0.500
0.500 0.000 0.500
```

Main lines, low angle first (2θ = 10–90°):
- 18.72°, I = 724
- 19.81°, I = 1000
- 21.00°, I = 433
- 23.69°, I = 722
- 27.38°, I = 374
- 34.76°, I = 861
- 38.47°, I = 819
- 40.24°, I = 318
- 40.80°, I = 420
- 51.38°, I = 376

(2)
# MgNiPd4
Theoretical powder diffractogram, Cu Kα, 1.54184 Å. Input: a GGA-PBE-relaxed structure.

Atomic structure:
```
MgNiPd4
1.0
0.000 4.593 7.364
2.746 0.000 7.364
2.746 4.593 0.000
Mg Ni Pd
2 2 8
Direct
0.125 0.125 0.125
0.875 0.875 0.875
0.375 0.375 0.375
0.625 0.625 0.625
0.035 0.526 0.226
0.226 0.712 0.035
0.288 0.774 0.474
0.474 0.965 0.288
0.526 0.035 0.712
0.712 0.226 0.526
0.774 0.288 0.965
0.965 0.474 0.774
```

Main lines, low angle first (2θ = 10–90°):
- 24.17°, I = 424
- 34.87°, I = 438
- 38.19°, I = 611
- 39.23°, I = 657
- 41.72°, I = 967
- 45.71°, I = 1000
- 53.48°, I = 245
- 72.84°, I = 354
- 83.35°, I = 245
- 86.04°, I = 233

(3)
# Mg5NiPd6
Theoretical powder diffractogram, Cu Kα, 1.54184 Å. Input: a GGA-PBE-relaxed structure.

Atomic structure:
```
Mg5NiPd6
1.0
-2.251 3.070 6.753
2.251 -3.070 6.753
2.251 3.070 -6.753
Mg Ni Pd
5 1 6
Direct
0.000 0.000 0.000
0.166 0.666 0.500
0.335 0.335 0.000
0.665 0.665 0.000
0.834 0.334 0.500
0.500 0.000 0.500
0.089 0.836 0.254
0.258 0.500 0.758
0.418 0.164 0.254
0.582 0.836 0.746
0.742 0.500 0.242
0.911 0.164 0.746
```

Main lines, low angle first (2θ = 10–90°):
- 28.03°, I = 408
- 29.09°, I = 184
- 40.06°, I = 530
- 40.84°, I = 1000
- 50.26°, I = 159
- 57.94°, I = 174
- 60.30°, I = 76
- 73.30°, I = 336
- 74.88°, I = 156
- 88.49°, I = 104

(4)
# MgScNiPd
Theoretical powder diffractogram, Cu Kα, 1.54184 Å. Input: a GGA-PBE-relaxed structure.

Atomic structure:
```
MgScNiPd
1.0
0.000 3.191 3.191
3.191 0.000 3.191
3.191 3.191 0.000
Mg Sc Ni Pd
1 1 1 1
Direct
0.000 0.000 0.000
0.500 0.500 0.500
0.250 0.250 0.250
0.750 0.750 0.750
```

Main lines, low angle first (2θ = 10–90°):
- 24.15°, I = 96
- 27.96°, I = 235
- 39.96°, I = 1000
- 47.24°, I = 46
- 49.47°, I = 65
- 57.79°, I = 161
- 63.54°, I = 20
- 65.40°, I = 83
- 72.57°, I = 313
- 86.21°, I = 98

(5)
# PmMg3Ni8
Theoretical powder diffractogram, Cu Kα, 1.54184 Å. Input: a GGA-PBE-relaxed structure.

Atomic structure:
```
PmMg3Ni8
1.0
2.454 1.417 8.050
-2.454 1.417 8.050
0.000 -2.834 8.050
Pm Mg Ni
1 3 8
Direct
0.000 0.000 0.000
0.129 0.129 0.129
0.497 0.497 0.497
0.616 0.616 0.616
0.061 0.061 0.556
0.061 0.556 0.061
0.065 0.564 0.564
0.311 0.311 0.311
0.556 0.061 0.061
0.564 0.065 0.564
0.564 0.564 0.065
0.812 0.812 0.812
```

Main lines, low angle first (2θ = 10–90°):
- 10.99°, I = 164
- 21.23°, I = 167
- 22.15°, I = 256
- 36.62°, I = 149
- 43.14°, I = 1000
- 43.23°, I = 338
- 45.23°, I = 462
- 70.42°, I = 290
- 77.58°, I = 154
- 77.85°, I = 162

(6)
# Pm12MgNi5
Theoretical powder diffractogram, Cu Kα, 1.54184 Å. Input: a GGA-PBE-relaxed structure.

Atomic structure:
```
Pm12MgNi5
1.0
-4.797 4.958 5.111
4.797 -4.958 5.111
4.797 4.958 -5.111
Pm Mg Ni
12 1 5
Direct
0.016 0.206 0.810
0.179 0.298 0.477
0.179 0.702 0.881
0.322 0.014 0.692
0.322 0.630 0.308
0.396 0.206 0.190
0.604 0.794 0.810
0.678 0.370 0.692
0.678 0.986 0.308
0.821 0.298 0.119
0.821 0.702 0.523
0.984 0.794 0.190
0.500 0.500 0.000
0.000 0.000 0.000
0.123 0.623 0.500
0.369 0.000 0.369
0.631 0.000 0.631
0.877 0.377 0.500
```

Main lines, low angle first (2θ = 10–90°):
- 28.38°, I = 331
- 29.32°, I = 493
- 31.29°, I = 1000
- 33.50°, I = 697
- 33.61°, I = 703
- 34.09°, I = 433
- 34.51°, I = 358
- 52.64°, I = 250
- 57.06°, I = 250
- 58.47°, I = 392

(7)
# Pm3MgNi8
Theoretical powder diffractogram, Cu Kα, 1.54184 Å. Input: a GGA-PBE-relaxed structure.

Atomic structure:
```
Pm3MgNi8
1.0
2.532 1.462 8.333
-2.532 1.462 8.333
0.000 -2.924 8.333
Pm Mg Ni
3 1 8
Direct
0.000 0.000 0.000
0.128 0.128 0.128
0.617 0.617 0.617
0.495 0.495 0.495
0.058 0.058 0.561
0.058 0.561 0.058
0.065 0.561 0.561
0.311 0.311 0.311
0.561 0.058 0.058
0.561 0.065 0.561
0.561 0.561 0.065
0.811 0.811 0.811
```

Main lines, low angle first (2θ = 10–90°):
- 35.26°, I = 323
- 35.45°, I = 334
- 41.58°, I = 354
- 41.77°, I = 1000
- 43.75°, I = 249
- 63.53°, I = 116
- 67.83°, I = 159
- 67.95°, I = 147
- 74.58°, I = 144
- 75.02°, I = 156

(8)
# Pr2MgNi9
Theoretical powder diffractogram, Cu Kα, 1.54184 Å. Input: a GGA-PBE-relaxed structure.

Atomic structure:
```
Pr2MgNi9
1.0
2.499 1.443 8.083
-2.499 1.443 8.083
0.000 -2.885 8.083
Pr Mg Ni
2 1 9
Direct
0.000 0.000 0.000
0.147 0.147 0.147
0.282 0.282 0.282
0.062 0.561 0.561
0.228 0.726 0.726
0.476 0.476 0.476
0.561 0.062 0.561
0.561 0.561 0.062
0.642 0.642 0.642
0.726 0.228 0.726
0.726 0.726 0.228
0.810 0.810 0.810
```

Main lines, low angle first (2θ = 10–90°):
- 33.12°, I = 260
- 35.94°, I = 338
- 36.18°, I = 241
- 41.91°, I = 336
- 42.43°, I = 155
- 42.54°, I = 1000
- 44.85°, I = 207
- 45.92°, I = 175
- 69.16°, I = 283
- 76.20°, I = 195